Starting from a PBE-relaxed structure, the powder diffractogram of Nd2Al3Ag5 was computed for Cu Kα X-rays.
Intensities are scaled so that the largest is 100.

Structure:
```
Nd2Al3Ag5
1.0
-5.6071 6.1589 3.0967
5.6071 -6.1589 3.0967
5.6071 6.1589 -3.0967
Nd Al Ag
4 6 10
Direct
0.1313 0.2324 0.3637 Nd
0.3687 0.7324 0.1011 Nd
0.6313 0.2676 0.8989 Nd
0.8687 0.7676 0.6363 Nd
0.1316 0.8797 0.0113 Al
0.2500 0.7500 0.5000 Al
0.3684 0.3797 0.7481 Al
0.6316 0.6203 0.2519 Al
0.7500 0.2500 0.5000 Al
0.8684 0.1203 0.9887 Al
0.0146 0.7500 0.2646 Ag
0.1054 0.6540 0.7595 Ag
0.2500 0.2500 0.0000 Ag
0.3946 0.1540 0.5486 Ag
0.4854 0.7500 0.7354 Ag
0.5146 0.2500 0.2646 Ag
0.6054 0.8460 0.4514 Ag
0.7500 0.7500 0.0000 Ag
0.8946 0.3460 0.2405 Ag
0.9854 0.2500 0.7354 Ag
```

Top 10 peaks for 10° ≤ 2θ ≤ 90°, in order of falling intensity:
d [Å]  I/Imax
2.711  100
2.699  91
2.184  80
2.840  58
1.995  38
1.343  22
2.921  18
3.938  18
2.804  17
1.723  16